Structure and computed XRD peak list of Cs2PbBr6 (DFT lattice parameters and positions (GGA-PBE); copper Kα).

a b c (Å): 8.040 8.040 8.040
angles (deg): 60.00 60.00 60.00
Element x y z (fractional)
Cs: 0.250 0.250 0.250
Cs: 0.750 0.750 0.750
Pb: 0.000 0.000 0.000
Br: 0.242 0.242 0.758
Br: 0.242 0.758 0.242
Br: 0.242 0.758 0.758
Br: 0.758 0.242 0.242
Br: 0.758 0.242 0.758
Br: 0.758 0.758 0.242

Peak list (10 most intense, 2θ = 5–70°, low angle first)
Position (°2θ)	I/Imax
13.5	55
22.1	47
26.0	27
27.2	65
31.5	100
38.8	22
41.3	16
45.1	72
53.5	27
56.0	25